Theoretical X-ray diffraction stick pattern
Compound: LaGa2O
Radiation: λ = 1.5418 Å (Cu Kα)
Structure: the PBE geometry in Alexandria

Structure:
Cell lengths 6.9750, 6.9750, 6.9750 Å; angles 95.79, 95.79, 142.96 degrees
Element x y z (fractional)
La (0.0000, 0.0000, 0.0000)
La (0.7500, 0.2500, 0.5000)
Ga (0.1898, 0.6250, 0.0648)
Ga (0.3750, 0.4398, 0.5648)
Ga (0.5602, 0.1250, 0.9352)
Ga (0.8750, 0.8102, 0.4352)
O (0.2500, 0.7500, 0.5000)
O (0.5000, 0.5000, 0.0000)

Largest 10 diffraction maxima, sorted by position, 10 to 80 degrees two-theta:
22.2°, I = 148
27.0°, I = 1000
29.4°, I = 774
35.2°, I = 360
38.5°, I = 293
43.1°, I = 357
44.9°, I = 132
51.5°, I = 319
53.1°, I = 275
56.9°, I = 195